Structure and calculated XRD peak list of Th4Ge2BiSb (a structure optimized by DFT (GGA-PBE); copper Kα).

Crystal structure
a = 7.604 Å, b = 4.391 Å, c = 7.790 Å
α = 90.00°, β = 109.05°, γ = 90.00°
Fractional positions:
Th  0.239  0.000  0.223
Th  0.255  0.500  0.774
Th  0.745  0.500  0.226
Th  0.761  0.000  0.777
Ge  0.000  0.500  0.000
Ge  0.500  0.000  0.000
Bi  0.500  0.500  0.500
Sb  0.000  0.000  0.500

Most intense lines, 10 to 90 degrees two-theta, sorted by position:
| index | 2θ (°) | d/Å | I_rel |
| --- | --- | --- | --- |
| 2 0 0 | 24.76 | 3.595 | 13 |
| 1 1 1 | 28.50 | 3.132 | 100 |
| 2 0 2 | 40.37 | 2.234 | 36 |
| 0 2 0 | 41.12 | 2.195 | 39 |
| 4 0 0 | 50.79 | 1.798 | 21 |
| 2 2 2 | 58.99 | 1.566 | 12 |
| 3 1 3 | 66.26 | 1.411 | 15 |
| 1 3 1 | 67.33 | 1.391 | 18 |
| 5 1 1 | 74.42 | 1.275 | 12 |
| 3 3 -1 | 74.94 | 1.267 | 9 |